This entry pairs a crystal structure of Na2Cr4O13 with its simulated X-ray diffraction stick pattern. Radiation: Cu Kα (weighted mean of Kα1 and Kα2). Structure: a structure optimized by DFT (GGA+U).
Lines closer than 0.1° are merged.

Most intense lines, 10 to 90 degrees two-theta, low angle first:
2theta, Rel. int., index
15.7, 49, 0 1 1
15.8, 52, 1 1 0
23.2, 86, 0 1 2
24.4, 33, 0 2 0
25.6, 100, 1 1 2
28.2, 66, 1 2 -1
30.4, 66, 3 0 0
30.5, 52, 2 1 -2
33.6, 30, 2 2 1
42.0, 35, 0 1 4

a b c (Å): 8.8256 7.2833 9.0024
angles (deg): 90.00 91.83 90.00
Fractional coordinates of all 38 atoms:
Na 0.0000 0.0904 0.0000
Na 0.0000 0.9096 0.5000
Na 0.7508 0.3917 0.3560
Na 0.7508 0.6083 0.8560
Cr 0.0539 0.4182 0.6422
Cr 0.0539 0.5818 0.1422
Cr 0.3747 0.0590 0.7753
Cr 0.3747 0.9410 0.2753
Cr 0.3846 0.4002 0.0165
Cr 0.3846 0.5998 0.5165
Cr 0.7225 0.0806 0.7291
Cr 0.7225 0.9194 0.2291
O 0.0300 0.2613 0.5152
O 0.0300 0.7387 0.0152
O 0.0708 0.3233 0.8057
O 0.0708 0.6767 0.3057
O 0.2230 0.4448 0.1137
O 0.2230 0.5552 0.6137
O 0.2372 0.0840 0.2550
O 0.2372 0.9160 0.7550
O 0.3591 0.1722 0.9475
O 0.3591 0.8278 0.4475
O 0.3686 0.2037 0.6427
O 0.3686 0.7963 0.1427
O 0.4049 0.4599 0.3833
O 0.4049 0.5401 0.8833
O 0.5375 0.4052 0.1185
O 0.5375 0.5948 0.6185
O 0.5511 0.0495 0.2730
O 0.5511 0.9505 0.7730
O 0.7122 0.1484 0.5576
O 0.7122 0.8516 0.0576
O 0.7394 0.2559 0.8412
O 0.7394 0.7441 0.3412
O 0.8682 0.0570 0.2526
O 0.8682 0.9430 0.7526
O 0.9079 0.4424 0.1367
O 0.9079 0.5576 0.6367



This entry pairs a crystal structure of Na2CrO4 with its simulated X-ray diffraction stick pattern. Radiation: Cu Kα (weighted mean of Kα1 and Kα2). Structure: a structure optimized by DFT (GGA+U).
Lines closer than 0.1° are merged.

Most intense lines, 10 to 90 degrees two-theta, low angle first:
2theta, Rel. int., index
18.2, 37, 1 0 0
18.4, 76, 1 0 1
19.3, 32, 1 1 0
19.9, 100, 0 1 1
21.1, 41, 0 0 2
24.8, 40, 1 1 2
27.1, 34, 0 1 2
32.2, 47, 1 1 -2
41.1, 30, 1 2 -2
41.6, 25, 1 2 3

a b c (Å): 5.5638 5.7646 8.8133
angles (deg): 83.07 73.02 65.76
Fractional coordinates of all 14 atoms:
Na 0.0970 0.2200 0.1452
Na 0.2720 0.7463 0.4373
Na 0.7280 0.2537 0.5627
Na 0.9030 0.7800 0.8548
Cr 0.2029 0.2040 0.7458
Cr 0.7971 0.7960 0.2542
O 0.0414 0.6836 0.0889
O 0.1170 0.0238 0.6529
O 0.2306 0.4510 0.6320
O 0.4976 0.9633 0.2154
O 0.5024 0.0367 0.7846
O 0.7694 0.5490 0.3680
O 0.8830 0.9762 0.3471
O 0.9586 0.3164 0.9111



This entry pairs a crystal structure of Na3CrO4 with its simulated X-ray diffraction stick pattern. Radiation: Cu Kα (weighted mean of Kα1 and Kα2). Structure: a structure optimized by DFT (GGA+U).
Lines closer than 0.1° are merged.

Most intense lines, 10 to 90 degrees two-theta, low angle first:
2theta, Rel. int., index
19.0, 45, 2 1 0
20.0, 37, 0 1 1
21.3, 31, 2 0 1
28.9, 100, 4 0 0
29.6, 22, 3 1 1
31.6, 62, 0 0 2
33.0, 58, 2 2 1
43.3, 32, 2 2 2
51.2, 36, 6 2 0
61.4, 33, 0 4 2

a b c (Å): 12.3514 7.1486 5.6615
angles (deg): 90.00 90.00 90.00
Fractional coordinates of all 32 atoms:
Na 0.0758 0.2500 0.2119
Na 0.1633 0.5006 0.7966
Na 0.1633 0.9994 0.7966
Na 0.3367 0.0006 0.2966
Na 0.3367 0.4994 0.2966
Na 0.4242 0.7500 0.7119
Na 0.5758 0.2500 0.2881
Na 0.6633 0.5006 0.7034
Na 0.6633 0.9994 0.7034
Na 0.8367 0.0006 0.2034
Na 0.8367 0.4994 0.2034
Na 0.9242 0.7500 0.7881
Cr 0.0879 0.7500 0.3063
Cr 0.4121 0.2500 0.8063
Cr 0.5879 0.7500 0.1937
Cr 0.9121 0.2500 0.6937
O 0.0455 0.2500 0.7877
O 0.0884 0.7500 0.6116
O 0.1566 0.5524 0.2077
O 0.1566 0.9476 0.2077
O 0.3434 0.0524 0.7077
O 0.3434 0.4476 0.7077
O 0.4116 0.2500 0.1116
O 0.4545 0.7500 0.2877
O 0.5455 0.2500 0.7123
O 0.5884 0.7500 0.8884
O 0.6566 0.5524 0.2923
O 0.6566 0.9476 0.2923
O 0.8434 0.0524 0.7923
O 0.8434 0.4476 0.7923
O 0.9116 0.2500 0.3884
O 0.9545 0.7500 0.2123